# Y2CoO4
Calculated powder diffraction line list, copper Kα. Input: a PBE+U-relaxed structure.
No peak broadening, texture or thermal motion is included.

Unit cell a=6.5618 b=6.5618 c=6.5618 alpha=60.00 beta=60.00 gamma=60.00
Sites, in units of the cell vectors:
Y 0.0000 0.0000 0.0000
Y 0.0000 0.0000 0.5000
Y 0.0000 0.5000 0.0000
Y 0.5000 0.0000 0.0000
Co 0.3750 0.3750 0.3750
Co 0.6250 0.6250 0.6250
O 0.2352 0.7549 0.7549
O 0.2451 0.2451 0.2451
O 0.2451 0.2451 0.7648
O 0.2451 0.7648 0.2451
O 0.7549 0.2352 0.7549
O 0.7549 0.7549 0.2352
O 0.7549 0.7549 0.7549
O 0.7648 0.2451 0.2451

Top 6 peaks for 2θ = 15–90°, by intensity:
2θ/deg  Rel. int.
31.99  100
56.06  48
51.15  36
38.82  27
16.55  24
33.45  21